[1]
Calculated XRD peak list of AcPr4NdDy2 for Cu Kα, 1.54184 Å, from a DFT-relaxed cell (GGA-PBE, Alexandria).
Intensities are scaled so that the largest is 100.

Structural model:
Unit cell a=11.7026 b=5.2349 c=10.5135 alpha=90.00 beta=116.77 gamma=90.00
Fractional positions:
Ac  0.0000  0.0000  0.0000
Ac  0.5000  0.5000  0.0000
Pr  0.2477  0.0000  0.8706
Pr  0.2490  0.5000  0.6224
Pr  0.2510  0.0000  0.3776
Pr  0.2523  0.5000  0.1294
Pr  0.7477  0.5000  0.8706
Pr  0.7490  0.0000  0.6224
Pr  0.7510  0.5000  0.3776
Pr  0.7523  0.0000  0.1294
Nd  0.0000  0.0000  0.5000
Nd  0.5000  0.5000  0.5000
Dy  0.0007  0.5000  0.7451
Dy  0.4993  0.0000  0.2549
Dy  0.5007  0.0000  0.7451
Dy  0.9993  0.5000  0.2549

Main lines, in order of falling intensity (2θ from 5° to 70°):
2θ (°), I (rel.)
29.53, 100
34.29, 34
49.15, 24
58.49, 22
34.11, 17
58.27, 15
61.30, 13
49.28, 12
58.58, 7
16.97, 1

=====

[2]
Calculated XRD peak list of ZrB3Ir6 for Cu Kα, 1.54184 Å, from a DFT-relaxed cell (GGA-PBE, Alexandria).
Intensities are scaled so that the largest is 100.

Structural model:
Unit cell a=5.3144 b=5.3843 c=5.9723 alpha=110.76 beta=95.21 gamma=119.13
Fractional positions:
Zr  0.0000  0.0000  0.0000
B  0.0694  0.3746  0.4723
B  0.3944  0.6419  0.0329
B  0.6237  0.3969  0.0367
Ir  0.1349  0.6572  0.2856
Ir  0.3249  0.2584  0.6685
Ir  0.4213  0.8473  0.7760
Ir  0.5966  0.1941  0.2938
Ir  0.7113  0.7833  0.3804
Ir  0.8859  0.3619  0.7779

Main lines, in order of falling intensity (2θ from 5° to 70°):
2θ (°), I (rel.)
38.99, 100
38.37, 71
33.92, 59
39.63, 52
47.67, 41
33.47, 41
42.29, 41
39.57, 36
50.14, 35
36.40, 31

=====

[3]
Calculated XRD peak list of NaU5Se6 for Cu Kα, 1.54184 Å, from a DFT-relaxed cell (GGA-PBE, Alexandria).
Intensities are scaled so that the largest is 100.

Structural model:
Unit cell a=7.1100 b=7.1100 c=7.0150 alpha=99.77 beta=99.77 gamma=120.22
Fractional positions:
Na  0.0000  0.0000  0.0000
U  0.1680  0.8320  0.5000
U  0.3342  0.6658  0.0000
U  0.5000  0.5000  0.5000
U  0.6658  0.3342  0.0000
U  0.8320  0.1680  0.5000
Se  0.0817  0.4123  0.2469
Se  0.2466  0.2466  0.7508
Se  0.4123  0.0817  0.2469
Se  0.5877  0.9183  0.7531
Se  0.7534  0.7534  0.2492
Se  0.9183  0.5877  0.7531

Main lines, in order of falling intensity (2θ from 5° to 70°):
2θ (°), I (rel.)
31.00, 100
44.23, 25
44.59, 25
26.63, 16
54.85, 14
44.07, 13
64.62, 13
44.77, 12
26.76, 10
27.04, 8

=====

[4]
Calculated XRD peak list of MnPdRh for Cu Kα, 1.54184 Å, from a DFT-relaxed cell (GGA-PBE, Alexandria).
Intensities are scaled so that the largest is 100.

Structural model:
Unit cell a=2.9097 b=2.9097 c=10.2993 alpha=90.00 beta=90.00 gamma=90.00
Fractional positions:
Mn  0.0000  0.0000  0.0000
Mn  0.5000  0.5000  0.5000
Pd  0.0000  0.0000  0.3375
Pd  0.5000  0.5000  0.8375
Rh  0.0000  0.0000  0.6493
Rh  0.5000  0.5000  0.1493

Main lines, in order of falling intensity (2θ from 5° to 70°):
2θ (°), I (rel.)
40.65, 100
44.01, 41
64.00, 13
31.96, 11
53.37, 10
34.84, 5
57.32, 5
17.22, 2
47.59, 1

=====

[5]
Calculated XRD peak list of Pm3Se2 for Cu Kα, 1.54184 Å, from a DFT-relaxed cell (GGA-PBE, Alexandria).
Intensities are scaled so that the largest is 100.

Structural model:
Unit cell a=7.9105 b=7.9105 c=7.9105 alpha=53.88 beta=53.88 gamma=53.88
Fractional positions:
Pm  0.0810  0.7500  0.4190
Pm  0.2500  0.5810  0.9190
Pm  0.4190  0.0810  0.7500
Pm  0.5810  0.9190  0.2500
Pm  0.7500  0.4190  0.0810
Pm  0.9190  0.2500  0.5810
Se  0.1629  0.1629  0.1629
Se  0.3371  0.3371  0.3371
Se  0.6629  0.6629  0.6629
Se  0.8371  0.8371  0.8371

Main lines, in order of falling intensity (2θ from 5° to 70°):
2θ (°), I (rel.)
28.20, 100
36.60, 49
43.75, 37
47.77, 24
52.87, 17
58.32, 13
26.44, 11
51.85, 10
66.77, 9
16.76, 7

=====

[6]
Calculated XRD peak list of PS3Cl3 for Cu Kα, 1.54184 Å, from a DFT-relaxed cell (GGA-PBE, Alexandria).
Intensities are scaled so that the largest is 100.

Structural model:
Unit cell a=9.2997 b=9.3108 c=9.5249 alpha=61.39 beta=61.21 gamma=60.10
Fractional positions:
P  0.2113  0.2099  0.3654
P  0.7887  0.7901  0.6346
S  0.0119  0.0142  0.7419
S  0.0137  0.2370  0.7395
S  0.2353  0.0137  0.7409
S  0.7647  0.9863  0.2591
S  0.9863  0.7630  0.2605
S  0.9881  0.9858  0.2581
Cl  0.0251  0.3662  0.2381
Cl  0.3668  0.3662  0.2403
Cl  0.3686  0.0253  0.2354
Cl  0.6314  0.9747  0.7646
Cl  0.6332  0.6338  0.7597
Cl  0.9749  0.6338  0.7619

Main lines, in order of falling intensity (2θ from 5° to 70°):
2θ (°), I (rel.)
22.42, 100
11.59, 94
13.27, 46
19.07, 37
35.29, 31
35.15, 23
34.62, 10
49.85, 10
28.46, 8
48.05, 7